1.
Computed powder XRD pattern of CoB4O7 for Cu Kα, from a structure optimized by DFT (GGA+U).

Largest 12 diffraction maxima, low angle first, 2θ from 15° to 90°:
two_theta  d_spacing  Rel. int.
16.35  5.421  228
23.54  3.780  538
27.63  3.228  290
32.28  2.774  954
33.29  2.691  1000
38.45  2.341  311
38.62  2.331  266
46.47  1.954  379
47.61  1.910  303
48.14  1.890  322
48.70  1.870  583
52.57  1.741  271

```
CoB4O7
1.0
5.421 -3.228 0.000
5.421 3.228 0.000
0.000 0.000 5.165
Co B O
2 8 14
Cartesian
5.421 1.660 3.874 Co
5.421 -1.660 1.291 Co
4.151 1.996 1.291 B
3.215 0.000 0.000 B
3.215 0.000 2.582 B
6.691 1.996 1.291 B
4.151 -1.996 3.874 B
7.627 0.000 0.000 B
7.627 0.000 2.582 B
6.691 -1.996 3.874 B
5.421 2.732 1.291 O
4.031 1.184 0.112 O
4.031 1.184 2.470 O
2.383 0.151 3.874 O
2.383 -0.151 1.291 O
6.811 1.184 0.112 O
6.811 1.184 2.470 O
4.031 -1.184 2.695 O
4.031 -1.184 5.053 O
8.459 0.151 3.874 O
8.459 -0.151 1.291 O
6.811 -1.184 2.695 O
6.811 -1.184 5.053 O
5.421 -2.732 3.874 O
```


2.
Computed powder XRD pattern of CoBPO for Cu Kα, from a structure optimized by DFT (GGA+U).

Largest 12 diffraction maxima, low angle first, 2θ from 15° to 90°:
two_theta  d_spacing  Rel. int.
27.28  3.269  662
30.94  2.890  1000
35.41  2.535  278
40.72  2.216  533
45.26  2.003  450
48.73  1.869  266
49.70  1.834  329
52.00  1.759  301
52.49  1.743  246
56.28  1.635  224
56.75  1.622  197
71.75  1.315  192

```
CoBPO
1.0
3.269 0.000 0.000
0.000 6.182 0.000
0.000 0.000 4.432
Co B P O
2 2 2 2
Cartesian
0.000 0.823 0.000 Co
0.000 5.359 2.216 Co
1.635 2.412 2.602 B
1.635 3.770 0.386 B
0.000 1.332 2.140 P
0.000 4.850 4.356 P
1.635 2.500 4.098 O
1.635 3.682 1.882 O
```


3.
Computed powder XRD pattern of CoB2S4O16 for Cu Kα, from a structure optimized by DFT (GGA+U).

Largest 12 diffraction maxima, low angle first, 2θ from 15° to 90°:
two_theta  d_spacing  Rel. int.
19.12  4.642  817
22.07  4.027  662
24.48  3.636  1000
25.59  3.482  441
26.00  3.427  764
30.64  2.918  582
30.83  2.901  187
31.85  2.810  387
32.07  2.791  689
34.13  2.627  183
39.27  2.294  195
51.96  1.760  205

```
CoB2S4O16
1.0
7.735 0.000 0.000
0.000 8.081 0.000
-4.361 0.000 8.334
Co B S O
2 4 8 32
Cartesian
0.000 0.000 0.000 Co
-2.181 4.040 4.167 Co
-0.565 0.426 5.234 B
1.616 3.615 1.067 B
1.758 4.466 7.267 B
3.939 7.655 3.100 B
-0.724 5.073 1.404 S
-2.904 7.048 5.571 S
2.750 1.210 1.387 S
0.570 2.831 5.554 S
2.804 5.250 2.780 S
0.623 6.871 6.946 S
6.278 1.032 2.763 S
4.097 3.008 6.930 S
-0.784 1.150 1.501 O
-2.964 2.890 5.668 O
6.338 5.191 2.666 O
4.157 6.930 6.833 O
-2.183 5.875 5.151 O
-0.002 6.246 0.984 O
-1.982 0.180 5.620 O
0.198 3.861 1.453 O
-0.380 0.624 3.775 O
-2.561 3.416 7.942 O
1.889 0.249 0.708 O
-0.292 3.791 4.875 O
-0.283 1.632 6.004 O
1.898 2.408 1.837 O
2.513 4.712 1.360 O
0.332 7.409 5.527 O
1.618 5.629 3.473 O
-0.563 6.492 7.640 O
3.936 1.589 0.694 O
1.756 2.451 4.861 O
3.041 0.671 2.807 O
0.861 3.369 6.974 O
1.476 5.673 6.497 O
3.656 6.448 2.330 O
3.665 4.289 3.459 O
1.485 7.832 7.626 O
5.934 4.665 0.392 O
3.754 7.456 4.559 O
3.175 4.220 6.881 O
5.356 7.901 2.714 O
3.376 1.835 7.350 O
5.556 2.205 3.183 O
```


4.
Computed powder XRD pattern of Co4B2S6O25 for Cu Kα, from a structure optimized by DFT (GGA+U).

Largest 12 diffraction maxima, low angle first, 2θ from 15° to 90°:
two_theta  d_spacing  Rel. int.
22.48  3.955  291
25.48  3.495  1000
27.19  3.279  252
28.67  3.114  273
32.99  2.715  613
35.56  2.524  157
39.46  2.284  225
41.34  2.184  180
45.01  2.014  217
50.88  1.795  201
52.35  1.748  204
61.38  1.510  207

```
Co4B2S6O25
1.0
7.910 0.000 0.000
-3.955 6.851 0.000
0.000 0.000 7.470
Co B S O
4 2 6 25
Cartesian
0.000 4.567 0.404 Co
0.000 4.567 3.365 Co
3.955 2.284 4.105 Co
3.955 2.284 7.066 Co
0.000 0.000 2.386 B
0.000 0.000 5.083 B
-2.388 4.737 5.614 S
1.047 2.415 5.614 S
2.615 0.301 1.855 S
1.341 6.550 5.614 S
2.908 4.436 1.855 S
6.343 2.114 1.855 S
0.000 0.000 3.735 O
-0.255 1.353 1.782 O
-1.174 3.556 1.872 O
-2.656 6.395 1.782 O
-1.681 5.085 4.381 O
-1.640 5.060 6.820 O
1.044 0.897 5.688 O
0.392 2.853 4.381 O
0.393 2.900 6.820 O
-0.289 6.089 1.872 O
2.666 1.087 3.088 O
2.708 1.110 0.649 O
1.463 4.056 1.872 O
2.493 2.794 5.597 O
1.247 5.741 6.820 O
1.289 5.764 4.381 O
4.244 0.762 5.597 O
3.562 3.950 0.649 O
3.563 3.998 3.088 O
2.911 5.954 1.782 O
5.595 1.791 0.649 O
5.636 1.766 3.088 O
6.611 0.456 5.688 O
5.129 3.295 5.597 O
4.210 5.498 5.688 O
```


5.
Computed powder XRD pattern of Sm2YCo2B2O3 for Cu Kα, from a structure optimized by DFT (GGA+U).

Largest 12 diffraction maxima, low angle first, 2θ from 15° to 90°:
two_theta  d_spacing  Rel. int.
28.72  3.108  1000
32.66  2.742  480
33.13  2.704  250
37.03  2.428  305
38.91  2.314  272
40.64  2.220  450
44.81  2.022  340
53.12  1.724  300
53.36  1.717  311
61.73  1.503  242
63.99  1.455  258
78.64  1.217  187

```
Sm2YCo2B2O3
1.0
-1.717 1.717 10.966
1.717 -1.717 10.966
1.717 1.717 -10.966
Sm Y Co B O
2 1 2 2 3
Cartesian
0.000 0.000 2.985 Sm
0.000 0.000 18.948 Sm
0.000 0.000 10.966 Y
1.717 0.000 5.483 Co
0.000 1.717 5.483 Co
0.000 0.000 6.303 B
0.000 0.000 15.629 B
0.000 0.000 0.000 O
0.000 0.000 8.751 O
0.000 0.000 13.181 O
```


6.
Computed powder XRD pattern of TbY2Co2B2O3 for Cu Kα, from a structure optimized by DFT (GGA+U).

Largest 12 diffraction maxima, low angle first, 2θ from 15° to 90°:
two_theta  d_spacing  Rel. int.
16.41  5.401  152
28.99  3.080  1000
33.18  2.700  488
33.49  2.676  334
37.32  2.410  269
38.27  2.352  450
45.28  2.003  507
53.84  1.703  583
62.27  1.491  240
64.69  1.441  264
72.78  1.299  184
79.61  1.204  261

```
TbY2Co2B2O3
1.0
-1.704 1.704 10.801
1.704 -1.704 10.801
1.704 1.704 -10.801
Tb Y Co B O
1 2 2 2 3
Cartesian
0.000 0.000 0.000 Tb
0.000 0.000 7.822 Y
0.000 0.000 13.781 Y
1.704 0.000 5.401 Co
0.000 1.704 5.401 Co
0.000 0.000 4.542 B
0.000 0.000 17.061 B
0.000 0.000 2.226 O
0.000 0.000 10.801 O
0.000 0.000 19.377 O
```


Copy entry 6 word for word.
Computed powder XRD pattern of TbY2Co2B2O3 for Cu Kα, from a structure optimized by DFT (GGA+U).

Largest 12 diffraction maxima, low angle first, 2θ from 15° to 90°:
two_theta  d_spacing  Rel. int.
16.41  5.401  152
28.99  3.080  1000
33.18  2.700  488
33.49  2.676  334
37.32  2.410  269
38.27  2.352  450
45.28  2.003  507
53.84  1.703  583
62.27  1.491  240
64.69  1.441  264
72.78  1.299  184
79.61  1.204  261

```
TbY2Co2B2O3
1.0
-1.704 1.704 10.801
1.704 -1.704 10.801
1.704 1.704 -10.801
Tb Y Co B O
1 2 2 2 3
Cartesian
0.000 0.000 0.000 Tb
0.000 0.000 7.822 Y
0.000 0.000 13.781 Y
1.704 0.000 5.401 Co
0.000 1.704 5.401 Co
0.000 0.000 4.542 B
0.000 0.000 17.061 B
0.000 0.000 2.226 O
0.000 0.000 10.801 O
0.000 0.000 19.377 O
```